No. 1
Diffraction record for Dy3Np4S8. The powder XRD pattern is theoretical, not measured: it uses a cell relaxed with PBE and Cu Ka.
Kinematic intensities with the Lorentz-polarization factor, no thermal factor.

Structure:
```
Dy3Np4S8
1.0
5.507 -5.527 0.000
5.507 5.527 0.000
-5.502 0.000 5.516
Dy Np S
3 4 8
direct
0.000 0.000 0.000
0.000 0.500 0.500
0.500 0.000 0.500
0.000 0.500 0.000
0.500 0.000 0.000
0.500 0.500 0.000
0.500 0.500 0.500
0.247 0.247 0.996
0.247 0.753 0.500
0.248 0.752 0.000
0.249 0.249 0.500
0.751 0.751 0.500
0.752 0.248 0.000
0.753 0.247 0.500
0.753 0.753 0.004
```

Most intense lines, 2θ from 15° to 90°, in order of falling intensity:
2θ = 28.02°, d = 3.185 Å, rel. 100
2θ = 32.43°, d = 2.761 Å, rel. 76
2θ = 46.55°, d = 1.951 Å, rel. 69
2θ = 32.52°, d = 2.753 Å, rel. 38
2θ = 57.91°, d = 1.592 Å, rel. 29
2θ = 55.17°, d = 1.665 Å, rel. 25
2θ = 55.29°, d = 1.662 Å, rel. 25
2θ = 26.80°, d = 3.326 Å, rel. 15
2θ = 86.34°, d = 1.127 Å, rel. 15
2θ = 86.49°, d = 1.125 Å, rel. 15

No. 2
Diffraction record for Nd2HgPb3. The powder XRD pattern is theoretical, not measured: it uses a cell relaxed with PBE and Cu Ka.
Kinematic intensities with the Lorentz-polarization factor, no thermal factor.

Structure:
```
Nd2HgPb3
1.0
2.319 -7.865 0.000
2.319 7.865 0.000
0.000 0.000 4.787
Nd Hg Pb
2 1 3
direct
0.149 0.851 0.000
0.851 0.149 0.000
0.000 0.000 0.500
0.325 0.675 0.500
0.500 0.500 0.000
0.675 0.325 0.500
```

Most intense lines, 2θ from 15° to 90°, in order of falling intensity:
2θ = 31.83°, d = 2.812 Å, rel. 100
2θ = 34.20°, d = 2.622 Å, rel. 18
2θ = 37.58°, d = 2.393 Å, rel. 17
2θ = 38.83°, d = 2.319 Å, rel. 15
2θ = 64.24°, d = 1.450 Å, rel. 14
2θ = 65.94°, d = 1.417 Å, rel. 13
2θ = 59.75°, d = 1.548 Å, rel. 13
2θ = 51.72°, d = 1.768 Å, rel. 12
2θ = 55.15°, d = 1.665 Å, rel. 11
2θ = 66.51°, d = 1.406 Å, rel. 11

No. 3
Diffraction record for DyY2Te4. The powder XRD pattern is theoretical, not measured: it uses a cell relaxed with PBE and Cu Ka.
Kinematic intensities with the Lorentz-polarization factor, no thermal factor.

Structure:
```
DyY2Te4
1.0
2.119 -7.169 0.000
2.119 7.169 0.000
0.000 0.000 14.961
Dy Y Te
2 4 8
direct
0.128 0.872 0.750
0.872 0.128 0.250
0.369 0.631 0.570
0.369 0.631 0.930
0.631 0.369 0.070
0.631 0.369 0.430
0.000 0.000 0.000
0.000 0.000 0.500
0.279 0.721 0.122
0.279 0.721 0.378
0.470 0.530 0.750
0.530 0.470 0.250
0.721 0.279 0.622
0.721 0.279 0.878
```

Most intense lines, 2θ from 15° to 90°, in order of falling intensity:
2θ = 30.62°, d = 2.919 Å, rel. 100
2θ = 28.78°, d = 3.102 Å, rel. 80
2θ = 26.89°, d = 3.316 Å, rel. 77
2θ = 37.32°, d = 2.410 Å, rel. 49
2θ = 41.92°, d = 2.155 Å, rel. 39
2θ = 42.67°, d = 2.119 Å, rel. 36
2θ = 39.82°, d = 2.264 Å, rel. 32
2θ = 21.71°, d = 4.094 Å, rel. 30
2θ = 51.16°, d = 1.786 Å, rel. 26
2θ = 61.36°, d = 1.511 Å, rel. 25